The following is a calculated powder XRD pattern of Li3As2Pd4. It was derived from a structure optimized by DFT (GGA-PBE), using CuKα.
No peak broadening, texture or thermal motion is included.

The 10 most intense peaks (15 to 90 degrees two-theta), most intense first:
d/Å, intensity
2.178, 100
2.158, 99
3.389, 66
1.533, 32
1.250, 32
2.737, 27
4.020, 22
1.246, 16
1.901, 16
1.261, 16

Atomic structure:
```
Li3As2Pd4
1.0
3.737 -2.159 0.000
3.737 2.159 0.000
-0.010 0.000 8.040
Li As Pd
3 2 4
Direct
0.000 0.000 0.000 Li
0.333 0.333 0.555 Li
0.667 0.667 0.445 Li
0.333 0.333 0.223 As
0.667 0.667 0.777 As
0.000 0.000 0.322 Pd
0.000 0.000 0.678 Pd
0.333 0.333 0.896 Pd
0.667 0.667 0.104 Pd
```

The following is a calculated powder XRD pattern of Nd2Zn7Ir. It was derived from a structure optimized by DFT (GGA-PBE), using CuKα.
No peak broadening, texture or thermal motion is included.

The 10 most intense peaks (15 to 90 degrees two-theta), most intense first:
d/Å, intensity
2.603, 100
2.113, 50
2.711, 47
1.296, 22
1.667, 22
1.895, 22
1.494, 16
1.411, 16
1.983, 14
1.521, 13

Atomic structure:
```
Nd2Zn7Ir
1.0
4.227 0.000 0.000
0.000 4.227 0.000
0.000 0.000 10.600
Nd Zn Ir
2 7 1
Direct
0.000 0.500 0.242 Nd
0.500 0.000 0.758 Nd
0.000 0.000 0.000 Zn
0.000 0.000 0.500 Zn
0.000 0.500 0.633 Zn
0.000 0.500 0.866 Zn
0.500 0.000 0.134 Zn
0.500 0.000 0.367 Zn
0.500 0.500 0.500 Zn
0.500 0.500 0.000 Ir
```

The following is a calculated powder XRD pattern of CdAg2HgCl6. It was derived from a structure optimized by DFT (GGA-PBE), using CuKα.
No peak broadening, texture or thermal motion is included.

The 10 most intense peaks (15 to 90 degrees two-theta), most intense first:
d/Å, intensity
3.623, 100
3.454, 78
2.280, 55
2.500, 49
1.994, 47
2.026, 40
5.000, 31
3.002, 23
1.743, 15
2.128, 13

Atomic structure:
```
CdAg2HgCl6
1.0
6.902 0.000 0.000
-3.447 5.987 0.000
-3.444 -1.989 6.072
Cd Ag Hg Cl
1 2 1 6
Direct
0.000 0.000 0.000 Cd
0.573 0.787 0.359 Ag
0.586 0.293 0.878 Ag
0.009 0.504 0.513 Hg
0.103 0.210 0.706 Cl
0.103 0.384 0.205 Cl
0.485 0.102 0.205 Cl
0.498 0.894 0.706 Cl
0.814 0.604 0.706 Cl
0.821 0.719 0.205 Cl
```

The following is a calculated powder XRD pattern of SrCdP2O7. It was derived from a structure optimized by DFT (GGA-PBE), using CuKα.
No peak broadening, texture or thermal motion is included.

The 10 most intense peaks (15 to 90 degrees two-theta), most intense first:
d/Å, intensity
3.431, 100
3.406, 66
3.080, 43
3.185, 34
2.822, 33
2.754, 33
2.688, 32
2.055, 28
3.297, 22
1.843, 19

Atomic structure:
```
SrCdP2O7
1.0
5.508 0.000 0.000
0.000 8.668 0.000
-5.469 0.000 13.148
Sr Cd P O
4 4 8 28
Direct
0.013 0.176 0.230 Sr
0.013 0.324 0.730 Sr
0.987 0.676 0.270 Sr
0.987 0.824 0.770 Sr
0.280 0.644 0.594 Cd
0.280 0.856 0.094 Cd
0.720 0.144 0.906 Cd
0.720 0.356 0.406 Cd
0.324 0.216 0.027 P
0.324 0.284 0.527 P
0.433 0.031 0.675 P
0.433 0.469 0.175 P
0.567 0.531 0.825 P
0.567 0.969 0.325 P
0.676 0.716 0.473 P
0.676 0.784 0.973 P
0.132 0.213 0.915 O
0.132 0.287 0.415 O
0.220 0.117 0.093 O
0.220 0.383 0.593 O
0.227 0.054 0.721 O
0.227 0.446 0.221 O
0.304 0.612 0.763 O
0.304 0.888 0.263 O
0.318 0.106 0.562 O
0.318 0.394 0.062 O
0.391 0.674 0.456 O
0.391 0.826 0.956 O
0.489 0.637 0.159 O
0.489 0.863 0.659 O
0.511 0.137 0.341 O
0.511 0.363 0.841 O
0.609 0.174 0.044 O
0.609 0.326 0.544 O
0.682 0.606 0.938 O
0.682 0.894 0.438 O
0.696 0.112 0.737 O
0.696 0.388 0.237 O
0.773 0.554 0.779 O
0.773 0.946 0.279 O
0.780 0.617 0.407 O
0.780 0.883 0.907 O
0.868 0.713 0.585 O
0.868 0.787 0.085 O
```

The following is a calculated powder XRD pattern of Sb28Mo9Ru3. It was derived from a structure optimized by DFT (GGA-PBE), using CuKα.
No peak broadening, texture or thermal motion is included.

The 10 most intense peaks (15 to 90 degrees two-theta), most intense first:
d/Å, intensity
2.771, 100
2.263, 92
2.257, 70
2.270, 50
2.563, 49
2.571, 42
1.309, 26
1.304, 26
3.047, 24
3.035, 24

Atomic structure:
```
Sb28Mo9Ru3
1.0
6.797 -4.780 0.000
6.797 4.780 0.000
-0.064 0.000 13.615
Sb Mo Ru
28 9 3
Direct
0.000 0.326 0.162 Sb
0.000 0.676 0.163 Sb
0.001 0.501 0.912 Sb
0.002 0.502 0.413 Sb
0.126 0.126 0.787 Sb
0.127 0.127 0.540 Sb
0.162 0.838 0.000 Sb
0.164 0.838 0.326 Sb
0.176 0.501 0.663 Sb
0.326 0.000 0.162 Sb
0.338 0.663 0.825 Sb
0.339 0.664 0.501 Sb
0.376 0.376 0.036 Sb
0.376 0.376 0.290 Sb
0.501 0.001 0.912 Sb
0.501 0.176 0.663 Sb
0.501 0.826 0.664 Sb
0.502 0.002 0.413 Sb
0.623 0.623 0.039 Sb
0.626 0.626 0.287 Sb
0.663 0.338 0.825 Sb
0.664 0.339 0.501 Sb
0.676 0.000 0.163 Sb
0.826 0.501 0.664 Sb
0.838 0.162 0.000 Sb
0.838 0.164 0.326 Sb
0.874 0.874 0.789 Sb
0.876 0.876 0.537 Sb
0.159 0.842 0.663 Mo
0.327 0.327 0.836 Mo
0.328 0.328 0.490 Mo
0.340 0.659 0.164 Mo
0.659 0.340 0.164 Mo
0.670 0.670 0.834 Mo
0.827 0.827 0.336 Mo
0.828 0.828 0.993 Mo
0.842 0.159 0.663 Mo
0.170 0.170 0.333 Ru
0.170 0.170 0.994 Ru
0.670 0.670 0.493 Ru
```

The following is a calculated powder XRD pattern of Cu2Ag2Au. It was derived from a structure optimized by DFT (GGA-PBE), using CuKα.
No peak broadening, texture or thermal motion is included.

The 10 most intense peaks (15 to 90 degrees two-theta), most intense first:
d/Å, intensity
2.081, 100
2.266, 44
2.218, 43
3.096, 34
2.811, 21
1.270, 19
1.181, 19
1.384, 16
2.348, 14
2.571, 14

Atomic structure:
```
Cu2Ag2Au
1.0
-2.266 2.811 6.358
2.266 -2.811 6.358
2.266 2.811 -6.358
Cu Ag Au
4 4 2
Direct
0.194 0.188 0.006 Cu
0.318 0.812 0.506 Cu
0.682 0.188 0.494 Cu
0.806 0.812 0.994 Cu
0.248 0.998 0.250 Ag
0.376 0.626 0.750 Ag
0.624 0.374 0.250 Ag
0.752 0.002 0.750 Ag
0.115 0.365 0.750 Au
0.885 0.635 0.250 Au
```

The following is a calculated powder XRD pattern of Sr2MgTcN4. It was derived from a structure optimized by DFT (GGA-PBE), using CuKα.
No peak broadening, texture or thermal motion is included.

The 10 most intense peaks (15 to 90 degrees two-theta), most intense first:
d/Å, intensity
2.750, 100
2.944, 36
3.084, 30
2.129, 30
1.660, 23
1.709, 22
4.684, 17
4.558, 15
1.375, 14
1.801, 12

Atomic structure:
```
Sr2MgTcN4
1.0
5.887 0.000 0.000
0.000 7.201 0.000
0.000 0.000 6.168
Sr Mg Tc N
4 2 2 8
Direct
0.250 0.002 0.231 Sr
0.250 0.498 0.231 Sr
0.750 0.502 0.769 Sr
0.750 0.998 0.769 Sr
0.250 0.250 0.782 Mg
0.750 0.750 0.218 Mg
0.250 0.750 0.792 Tc
0.750 0.250 0.208 Tc
0.004 0.750 0.985 N
0.250 0.528 0.644 N
0.250 0.972 0.644 N
0.496 0.750 0.985 N
0.504 0.250 0.015 N
0.750 0.028 0.356 N
0.750 0.472 0.356 N
0.996 0.250 0.015 N
```

The following is a calculated powder XRD pattern of CrRhSe3. It was derived from a structure optimized by DFT (GGA-PBE), using CuKα.
No peak broadening, texture or thermal motion is included.

The 10 most intense peaks (15 to 90 degrees two-theta), most intense first:
d/Å, intensity
2.561, 100
2.678, 57
1.811, 36
1.893, 33
5.385, 32
1.798, 17
1.493, 15
1.823, 15
5.859, 12
4.172, 10

Atomic structure:
```
CrRhSe3
1.0
5.949 -5.395 0.000
5.949 5.395 0.000
-1.154 0.000 6.580
Cr Rh Se
4 4 12
Direct
0.168 0.311 0.013 Cr
0.311 0.168 0.513 Cr
0.689 0.832 0.487 Cr
0.832 0.689 0.987 Cr
0.247 0.753 0.250 Rh
0.410 0.590 0.750 Rh
0.590 0.410 0.250 Rh
0.753 0.247 0.750 Rh
0.055 0.189 0.681 Se
0.136 0.606 0.910 Se
0.189 0.055 0.181 Se
0.311 0.467 0.384 Se
0.394 0.864 0.590 Se
0.467 0.311 0.884 Se
0.533 0.689 0.116 Se
0.606 0.136 0.410 Se
0.689 0.533 0.616 Se
0.811 0.945 0.819 Se
0.864 0.394 0.090 Se
0.945 0.811 0.319 Se
```